Starting from a crystal structure in Alexandria, relaxed with PBE+U, the X-ray powder pattern of Sr2AlV2GaO7 was calculated for Cu Ka.

Cell and atoms:
abc: 11.705 11.705 5.579
angles: 103.48 103.48 139.85
Fractional positions:
Sr 0.095 0.905 0.000
Sr 0.319 0.521 0.926
Sr 0.521 0.319 0.926
Sr 0.905 0.095 0.000
Al 0.280 0.817 0.978
Al 0.817 0.280 0.978
V 0.136 0.767 0.447
V 0.298 0.657 0.486
V 0.657 0.298 0.486
V 0.767 0.136 0.447
Ga 0.539 0.539 0.575
Ga 0.878 0.878 0.402
O 0.044 0.418 0.950
O 0.084 0.934 0.471
O 0.332 0.949 0.331
O 0.340 0.493 0.392
O 0.418 0.044 0.950
O 0.442 0.825 0.993
O 0.493 0.340 0.392
O 0.591 0.591 0.965
O 0.617 0.992 0.645
O 0.820 0.820 0.685
O 0.825 0.442 0.993
O 0.934 0.084 0.471
O 0.949 0.332 0.331
O 0.992 0.617 0.645

Principal peaks in the range 15 to 90 degrees two-theta, in order of rising 2θ:
- 25.3°, d 3.525, intensity 26
- 27.2°, d 3.284, intensity 42
- 27.5°, d 3.240, intensity 52
- 30.3°, d 2.949, intensity 70
- 32.1°, d 2.789, intensity 90
- 32.8°, d 2.731, intensity 96
- 33.1°, d 2.705, intensity 100
- 41.0°, d 2.199, intensity 51
- 44.2°, d 2.047, intensity 37
- 45.2°, d 2.006, intensity 30


Starting from a crystal structure in Alexandria, relaxed with PBE+U, the X-ray powder pattern of AlV2GaO6 was calculated for Cu Ka.

Cell and atoms:
abc: 5.412 5.412 5.412
angles: 55.77 55.77 55.77
Fractional positions:
Al 0.000 0.000 0.000
V 0.206 0.206 0.206
V 0.702 0.702 0.702
Ga 0.494 0.494 0.494
O 0.112 0.797 0.391
O 0.283 0.625 0.904
O 0.391 0.112 0.797
O 0.625 0.904 0.283
O 0.797 0.391 0.112
O 0.904 0.283 0.625

Principal peaks in the range 15 to 90 degrees two-theta, in order of rising 2θ:
- 21.3°, d 4.174, intensity 21
- 24.1°, d 3.690, intensity 36
- 33.2°, d 2.695, intensity 100
- 35.5°, d 2.531, intensity 73
- 40.8°, d 2.212, intensity 35
- 49.4°, d 1.845, intensity 42
- 54.2°, d 1.693, intensity 57
- 62.3°, d 1.491, intensity 36
- 63.7°, d 1.461, intensity 38
- 72.4°, d 1.305, intensity 14